This entry pairs a crystal structure of Na3NbO4 with its simulated powder diffraction line list. Radiation: copper Kα. Structure: DFT lattice parameters and positions (GGA-PBE).
Kinematic intensities with the Lorentz-polarization factor, no thermal factor.

Most intense lines, 5 to 70 degrees two-theta, by intensity:
- d 2.293, rel. 100
- d 5.398, rel. 71
- d 2.279, rel. 50
- d 4.035, rel. 40
- d 3.739, rel. 37
- d 6.537, rel. 35

Structure:
```
Na3NbO4
1.0
5.730 0.000 0.000
0.000 6.537 0.000
-1.825 0.000 5.129
Na Nb O
6 2 8
direct
0.000 0.110 0.250 Na
0.000 0.379 0.750 Na
0.000 0.621 0.250 Na
0.000 0.890 0.750 Na
0.500 0.124 0.750 Na
0.500 0.876 0.250 Na
0.500 0.355 0.250 Nb
0.500 0.645 0.750 Nb
0.272 0.160 0.037 O
0.272 0.840 0.537 O
0.298 0.397 0.490 O
0.298 0.603 0.990 O
0.702 0.397 0.010 O
0.702 0.603 0.510 O
0.728 0.160 0.463 O
0.728 0.840 0.963 O
```

This entry pairs a crystal structure of LiGeAu3O4 with its simulated powder diffraction line list. Radiation: copper Kα. Structure: DFT lattice parameters and positions (GGA-PBE).
Kinematic intensities with the Lorentz-polarization factor, no thermal factor.

Most intense lines, 5 to 70 degrees two-theta, by intensity:
- d 2.947, rel. 100
- d 1.805, rel. 70
- d 2.552, rel. 68
- d 5.104, rel. 67
- d 1.539, rel. 44
- d 2.283, rel. 41

Structure:
```
LiGeAu3O4
1.0
5.104 0.000 0.000
0.000 5.104 0.000
0.000 0.000 5.104
Li Ge Au O
1 1 3 4
direct
0.000 0.000 0.000 Li
0.500 0.500 0.500 Ge
0.000 0.500 0.500 Au
0.500 0.000 0.500 Au
0.500 0.500 0.000 Au
0.227 0.227 0.227 O
0.227 0.773 0.773 O
0.773 0.227 0.773 O
0.773 0.773 0.227 O
```

This entry pairs a crystal structure of Ir2Se3 with its simulated powder diffraction line list. Radiation: copper Kα. Structure: DFT lattice parameters and positions (GGA-PBE).
Kinematic intensities with the Lorentz-polarization factor, no thermal factor.

Most intense lines, 5 to 70 degrees two-theta, by intensity:
- d 2.598, rel. 100
- d 5.836, rel. 78
- d 1.853, rel. 71
- d 2.642, rel. 55
- d 1.846, rel. 22
- d 3.552, rel. 21

Structure:
```
Ir2Se3
1.0
0.000 5.285 10.966
3.693 0.000 10.966
3.693 5.285 0.000
Ir Se
8 12
direct
0.042 0.042 0.208 Ir
0.132 0.132 0.618 Ir
0.208 0.208 0.042 Ir
0.382 0.382 0.868 Ir
0.618 0.618 0.132 Ir
0.792 0.792 0.958 Ir
0.868 0.868 0.382 Ir
0.958 0.958 0.792 Ir
0.060 0.537 0.161 Se
0.098 0.652 0.652 Se
0.161 0.742 0.060 Se
0.258 0.839 0.463 Se
0.348 0.902 0.902 Se
0.463 0.940 0.258 Se
0.537 0.060 0.742 Se
0.652 0.098 0.098 Se
0.742 0.161 0.537 Se
0.839 0.258 0.940 Se
0.902 0.348 0.348 Se
0.940 0.463 0.839 Se
```

This entry pairs a crystal structure of AlTcH6Os with its simulated powder diffraction line list. Radiation: copper Kα. Structure: DFT lattice parameters and positions (GGA-PBE).
Kinematic intensities with the Lorentz-polarization factor, no thermal factor.

Most intense lines, 5 to 70 degrees two-theta, by intensity:
- d 2.240, rel. 100
- d 3.658, rel. 89
- d 1.911, rel. 46
- d 1.454, rel. 19
- d 1.584, rel. 18
- d 3.168, rel. 16

Structure:
```
AlTcH6Os
1.0
0.000 3.168 3.168
3.168 0.000 3.168
3.168 3.168 0.000
Al Tc H Os
1 1 6 1
direct
0.000 0.000 0.000 Al
0.750 0.750 0.750 Tc
0.027 0.027 0.473 H
0.027 0.473 0.027 H
0.027 0.473 0.473 H
0.473 0.027 0.027 H
0.473 0.027 0.473 H
0.473 0.473 0.027 H
0.500 0.500 0.500 Os
```

This entry pairs a crystal structure of La2Au2I with its simulated powder diffraction line list. Radiation: copper Kα. Structure: DFT lattice parameters and positions (GGA-PBE).
Kinematic intensities with the Lorentz-polarization factor, no thermal factor.

Most intense lines, 5 to 70 degrees two-theta, by intensity:
- d 2.891, rel. 100
- d 8.286, rel. 73
- d 2.330, rel. 64
- d 1.548, rel. 28
- d 1.814, rel. 26
- d 1.431, rel. 24

Structure:
```
La2Au2I
1.0
4.660 0.000 0.000
-2.330 4.035 0.000
0.000 0.000 8.286
La Au I
2 2 1
direct
0.000 0.000 0.215 La
0.000 0.000 0.785 La
0.333 0.667 0.000 Au
0.667 0.333 0.000 Au
0.667 0.333 0.500 I
```

This entry pairs a crystal structure of SnHg2Te2F2 with its simulated powder diffraction line list. Radiation: copper Kα. Structure: DFT lattice parameters and positions (GGA-PBE).
Kinematic intensities with the Lorentz-polarization factor, no thermal factor.

Most intense lines, 5 to 70 degrees two-theta, by intensity:
- d 3.126, rel. 100
- d 1.728, rel. 55
- d 2.496, rel. 55
- d 2.074, rel. 41
- d 2.932, rel. 39
- d 2.063, rel. 25

Structure:
```
SnHg2Te2F2
1.0
4.147 0.000 0.000
0.000 4.147 0.000
0.000 0.000 9.514
Sn Hg Te F
1 2 2 2
direct
0.000 0.000 0.000 Sn
0.000 0.500 0.350 Hg
0.500 0.000 0.650 Hg
0.000 0.500 0.787 Te
0.500 0.000 0.213 Te
0.000 0.000 0.500 F
0.500 0.500 0.500 F
```

Repeat the fifth record exactly.
This entry pairs a crystal structure of La2Au2I with its simulated powder diffraction line list. Radiation: copper Kα. Structure: DFT lattice parameters and positions (GGA-PBE).
Kinematic intensities with the Lorentz-polarization factor, no thermal factor.

Most intense lines, 5 to 70 degrees two-theta, by intensity:
- d 2.891, rel. 100
- d 8.286, rel. 73
- d 2.330, rel. 64
- d 1.548, rel. 28
- d 1.814, rel. 26
- d 1.431, rel. 24

Structure:
```
La2Au2I
1.0
4.660 0.000 0.000
-2.330 4.035 0.000
0.000 0.000 8.286
La Au I
2 2 1
direct
0.000 0.000 0.215 La
0.000 0.000 0.785 La
0.333 0.667 0.000 Au
0.667 0.333 0.000 Au
0.667 0.333 0.500 I
```